1.
Starting from a crystal structure in Alexandria, relaxed with GGA-PBE, the X-ray diffraction stick pattern of Hf6Zn3Ir was computed for a wavelength of 1.5418 Å.

Principal peaks in the range 2θ from 10° to 90°, sorted by position:
24.20 deg, d = 3.678 Å, intensity 41
29.36 deg, d = 3.042 Å, intensity 38
33.70 deg, d = 2.659 Å, intensity 47
33.83 deg, d = 2.650 Å, intensity 55
34.81 deg, d = 2.578 Å, intensity 54
35.01 deg, d = 2.563 Å, intensity 100
36.40 deg, d = 2.468 Å, intensity 53
37.64 deg, d = 2.390 Å, intensity 80
38.24 deg, d = 2.354 Å, intensity 63
42.37 deg, d = 2.133 Å, intensity 37

Structural model:
a = 5.4106 Å, b = 7.9900 Å, c = 10.8301 Å
α = 90.00°, β = 119.59°, γ = 90.00°
Element x y z (fractional)
Hf 0.0359 0.1799 0.4426
Hf 0.0359 0.3201 0.9426
Hf 0.3571 0.6754 0.4515
Hf 0.3571 0.8246 0.9515
Hf 0.4015 0.0844 0.2450
Hf 0.4015 0.4156 0.7450
Hf 0.5985 0.5844 0.2550
Hf 0.5985 0.9156 0.7550
Hf 0.6429 0.1754 0.0485
Hf 0.6429 0.3246 0.5485
Hf 0.9641 0.6799 0.0574
Hf 0.9641 0.8201 0.5574
Zn 0.1267 0.1003 0.7501
Zn 0.1267 0.3997 0.2501
Zn 0.5000 0.0000 0.5000
Zn 0.5000 0.5000 0.0000
Zn 0.8733 0.6003 0.7499
Zn 0.8733 0.8997 0.2499
Ir 0.0000 0.0000 0.0000
Ir 0.0000 0.5000 0.5000

2.
Starting from a crystal structure in Alexandria, relaxed with GGA-PBE, the X-ray diffraction stick pattern of K3La3HfO8 was computed for a wavelength of 1.5418 Å.

Principal peaks in the range 2θ from 10° to 90°, sorted by position:
14.00 deg, d = 6.326 Å, intensity 100
28.21 deg, d = 3.163 Å, intensity 28
28.99 deg, d = 3.080 Å, intensity 38
30.14 deg, d = 2.965 Å, intensity 61
34.39 deg, d = 2.608 Å, intensity 83
44.25 deg, d = 2.047 Å, intensity 20
48.18 deg, d = 1.889 Å, intensity 27
50.66 deg, d = 1.802 Å, intensity 27
52.82 deg, d = 1.733 Å, intensity 20
58.99 deg, d = 1.566 Å, intensity 22

Structural model:
a = 7.5721 Å, b = 7.5721 Å, c = 7.5721 Å
α = 56.85°, β = 56.85°, γ = 56.85°
Element x y z (fractional)
K 0.0000 0.5000 0.5000
K 0.5000 0.0000 0.5000
K 0.5000 0.5000 0.0000
La 0.0000 0.0000 0.5000
La 0.0000 0.5000 0.0000
La 0.5000 0.0000 0.0000
Hf 0.5000 0.5000 0.5000
O 0.2299 0.2299 0.2299
O 0.2634 0.7052 0.7052
O 0.2948 0.2948 0.7366
O 0.2948 0.7366 0.2948
O 0.7052 0.2634 0.7052
O 0.7052 0.7052 0.2634
O 0.7366 0.2948 0.2948
O 0.7701 0.7701 0.7701

3.
Starting from a crystal structure in Alexandria, relaxed with GGA-PBE, the X-ray diffraction stick pattern of KLaHf4O12 was computed for a wavelength of 1.5418 Å.

Principal peaks in the range 2θ from 10° to 90°, sorted by position:
18.69 deg, d = 4.748 Å, intensity 17
21.50 deg, d = 4.133 Å, intensity 31
21.67 deg, d = 4.102 Å, intensity 63
30.71 deg, d = 2.911 Å, intensity 100
30.83 deg, d = 2.900 Å, intensity 49
44.16 deg, d = 2.051 Å, intensity 31
49.64 deg, d = 1.837 Å, intensity 21
54.53 deg, d = 1.683 Å, intensity 22
54.75 deg, d = 1.677 Å, intensity 41
63.96 deg, d = 1.456 Å, intensity 18

Structural model:
a = 8.2653 Å, b = 5.8010 Å, c = 5.8010 Å
α = 89.91°, β = 90.00°, γ = 90.00°
Element x y z (fractional)
K 0.0000 0.0000 0.0000
La 0.5000 0.4814 0.4814
Hf 0.2442 0.4948 0.9873
Hf 0.2442 0.9873 0.4948
Hf 0.7558 0.4948 0.9873
Hf 0.7558 0.9873 0.4948
O 0.0000 0.5097 0.9792
O 0.0000 0.9792 0.5097
O 0.2479 0.2417 0.2417
O 0.2772 0.2527 0.7292
O 0.2772 0.7292 0.2527
O 0.2963 0.7257 0.7257
O 0.5000 0.0426 0.4685
O 0.5000 0.4685 0.0426
O 0.7037 0.7257 0.7257
O 0.7228 0.2527 0.7292
O 0.7228 0.7292 0.2527
O 0.7521 0.2417 0.2417

4.
Starting from a crystal structure in Alexandria, relaxed with GGA-PBE, the X-ray diffraction stick pattern of K2LiHf3S8 was computed for a wavelength of 1.5418 Å.

Principal peaks in the range 2θ from 10° to 90°, sorted by position:
11.07 deg, d = 7.989 Å, intensity 100
14.35 deg, d = 6.173 Å, intensity 21
22.25 deg, d = 3.995 Å, intensity 11
26.62 deg, d = 3.349 Å, intensity 16
28.18 deg, d = 3.167 Å, intensity 24
31.74 deg, d = 2.819 Å, intensity 46
38.54 deg, d = 2.336 Å, intensity 26
41.31 deg, d = 2.185 Å, intensity 18
49.42 deg, d = 1.844 Å, intensity 17
50.77 deg, d = 1.798 Å, intensity 24

Structural model:
a = 9.0537 Å, b = 9.0537 Å, c = 9.0537 Å
α = 48.09°, β = 48.09°, γ = 48.09°
Element x y z (fractional)
K 0.0000 0.0000 0.0000
K 0.3508 0.3508 0.3508
Li 0.5037 0.5037 0.5037
Hf 0.5045 0.9975 0.9975
Hf 0.9975 0.5045 0.9975
Hf 0.9975 0.9975 0.5045
S 0.2139 0.7333 0.7334
S 0.2255 0.2255 0.2255
S 0.2674 0.2674 0.7859
S 0.2674 0.7859 0.2674
S 0.7333 0.2139 0.7333
S 0.7333 0.7333 0.2139
S 0.7710 0.7710 0.7710
S 0.7859 0.2674 0.2674

5.
Starting from a crystal structure in Alexandria, relaxed with GGA-PBE, the X-ray diffraction stick pattern of K2LiHf2Se6 was computed for a wavelength of 1.5418 Å.

Principal peaks in the range 2θ from 10° to 90°, sorted by position:
11.13 deg, d = 7.947 Å, intensity 100
15.25 deg, d = 5.812 Å, intensity 14
17.05 deg, d = 5.200 Å, intensity 22
30.49 deg, d = 2.932 Å, intensity 75
30.76 deg, d = 2.907 Å, intensity 39
37.51 deg, d = 2.398 Å, intensity 23
40.62 deg, d = 2.221 Å, intensity 25
46.91 deg, d = 1.937 Å, intensity 37
50.27 deg, d = 1.815 Å, intensity 13
57.14 deg, d = 1.612 Å, intensity 14

Structural model:
a = 6.7101 Å, b = 6.7101 Å, c = 8.2282 Å
α = 97.45°, β = 97.45°, γ = 120.01°
Element x y z (fractional)
K 0.1628 0.8372 0.0000
K 0.8372 0.1628 0.0000
Li 0.0000 0.0000 0.5000
Hf 0.3329 0.6671 0.5000
Hf 0.6671 0.3329 0.5000
Se 0.0630 0.4087 0.6939
Se 0.2908 0.2908 0.3038
Se 0.4087 0.0630 0.6939
Se 0.5913 0.9370 0.3061
Se 0.7092 0.7092 0.6962
Se 0.9370 0.5913 0.3061

6.
Starting from a crystal structure in Alexandria, relaxed with GGA-PBE, the X-ray diffraction stick pattern of K2Hf2MgSe6 was computed for a wavelength of 1.5418 Å.

Principal peaks in the range 2θ from 10° to 90°, sorted by position:
11.24 deg, d = 7.871 Å, intensity 100
16.93 deg, d = 5.236 Å, intensity 16
30.38 deg, d = 2.942 Å, intensity 74
30.57 deg, d = 2.924 Å, intensity 37
37.57 deg, d = 2.394 Å, intensity 23
40.59 deg, d = 2.222 Å, intensity 23
46.36 deg, d = 1.958 Å, intensity 13
46.53 deg, d = 1.952 Å, intensity 25
50.39 deg, d = 1.811 Å, intensity 13
56.58 deg, d = 1.627 Å, intensity 19

Structural model:
a = 6.7769 Å, b = 6.7769 Å, c = 8.1744 Å
α = 97.73°, β = 97.73°, γ = 120.22°
Element x y z (fractional)
K 0.1639 0.8361 0.0000
K 0.8361 0.1639 0.0000
Hf 0.3331 0.6669 0.5000
Hf 0.6669 0.3331 0.5000
Mg 0.0000 0.0000 0.5000
Se 0.0636 0.4053 0.6932
Se 0.2810 0.2810 0.3069
Se 0.4053 0.0636 0.6932
Se 0.5947 0.9364 0.3068
Se 0.7190 0.7190 0.6931
Se 0.9364 0.5947 0.3068